Starting from a crystal structure in the Materials Project, relaxed with GGA-PBE, the powder XRD pattern of Mn3Fe was computed for Cu Kα (weighted mean of Kα1 and Kα2).
Lines closer than 0.1° are merged.

Most intense lines, 2θ = 10–90°, low angle first:
two_theta	intensity	h k l
44.1	1000	1 1 0
51.0	314	1 0 2
52.1	147	0 2 0
74.9	45	2 0 0
75.1	44	0 0 4
75.9	172	1 2 2

Structural model:
Lattice parameters (Å, degrees): 2.5363 3.5129 5.0600 90.00 90.00 90.00
Space group Pmmm (No. 47)
Unique sites:
1 Mn 0.0000 0.0000 0.0000
2 Mn 0.5000 0.5000 0.2528
3 Fe 0.0000 0.0000 0.5000



Starting from a crystal structure in the Materials Project, relaxed with GGA-PBE, the powder XRD pattern of MnFe was computed for Cu Kα (weighted mean of Kα1 and Kα2).
Lines closer than 0.1° are merged.

Most intense lines, 2θ = 10–90°, low angle first:
two_theta	intensity	h k l
45.1	1000	1 0 1
52.6	458	1 1 0
77.6	260	2 0 0

Structural model:
Lattice parameters (Å, degrees): 2.4600 2.4600 3.4807 90.00 90.00 90.00
Space group P4/mmm (No. 123)
Unique sites:
1 Mn 0.0000 0.0000 0.0000
2 Fe 0.5000 0.5000 0.5000